(1)
Structure and theoretical PXRD pattern of BaMgCdGa (the GGA-PBE geometry in Alexandria; Cu Kα X-rays).

Most intense lines, 15 to 90 degrees two-theta, by intensity:
d [Å]	2theta	I_rel
2.710	33.06	100
1.565	59.04	36
4.425	20.07	25
1.916	47.45	18
1.212	79.01	15
2.311	38.97	14
1.355	69.36	11
1.758	52.01	6
1.475	63.02	4
1.296	73.03	4

Structure:
```
16
Lattice="7.6648 0.0000 0.0000 0.0000 7.6648 0.0000 0.0000 0.0000 7.6648" Properties=species:S:1:pos:R:3 pbc="T T T"
Ba 0.0000 0.0000 0.0000
Ba 0.0000 3.8324 3.8324
Ba 3.8324 0.0000 3.8324
Ba 3.8324 3.8324 0.0000
Mg 0.0000 0.0000 3.8324
Mg 0.0000 3.8324 0.0000
Mg 3.8324 0.0000 0.0000
Mg 3.8324 3.8324 3.8324
Cd 1.9162 1.9162 1.9162
Cd 1.9162 5.7486 5.7486
Cd 5.7486 1.9162 5.7486
Cd 5.7486 5.7486 1.9162
Ga 1.9162 1.9162 5.7486
Ga 1.9162 5.7486 1.9162
Ga 5.7486 1.9162 1.9162
Ga 5.7486 5.7486 5.7486
```

(2)
Structure and theoretical PXRD pattern of Ho5CdRu4 (the GGA-PBE geometry in Alexandria; Cu Kα X-rays).

Most intense lines, 15 to 90 degrees two-theta, by intensity:
d [Å]	2theta	I_rel
2.471	36.36	100
2.404	37.40	59
1.401	66.79	33
1.700	53.93	21
2.248	40.11	16
1.440	64.74	10
1.352	69.54	9
1.202	79.77	7
1.356	69.29	7
3.400	26.21	7

Structure:
```
10
Lattice="3.4004 0.0000 0.0000 0.0000 3.4004 0.0000 0.0000 0.0000 17.9796" Properties=species:S:1:pos:R:3 pbc="T T T"
Ho 0.0000 0.0000 0.0000
Ho 0.0000 0.0000 3.3582
Ho 0.0000 0.0000 6.7149
Ho 0.0000 0.0000 11.2647
Ho 0.0000 0.0000 14.6214
Cd 1.7002 1.7002 8.9898
Ru 1.7002 1.7002 1.7009
Ru 1.7002 1.7002 5.1469
Ru 1.7002 1.7002 12.8327
Ru 1.7002 1.7002 16.2787
```

(3)
Structure and theoretical PXRD pattern of Ho4In3Te8 (the GGA-PBE geometry in Alexandria; Cu Kα X-rays).

Most intense lines, 15 to 90 degrees two-theta, by intensity:
d [Å]	2theta	I_rel
2.227	40.51	100
3.169	28.16	67
3.157	28.27	66
3.135	28.47	65
1.847	49.35	28
2.285	39.43	26
1.796	50.84	26
2.191	41.20	24
1.405	66.57	23
1.410	66.29	11

Structure:
```
15
Lattice="6.3194 -6.2708 0.0000 6.3194 6.2708 0.0000 -6.0538 0.0000 6.3388" Properties=species:S:1:pos:R:3 pbc="T T T"
Ho 0.0000 0.0000 0.0000
Ho -3.0269 0.0000 3.1694
Ho 3.1597 3.1354 0.0000
Ho 3.1597 -3.1354 0.0000
In 0.1328 3.1354 3.1694
In 0.1328 -3.1354 3.1694
In 3.2925 0.0000 3.1694
Te 0.0095 0.0000 3.0670
Te -2.9248 0.0000 6.2640
Te 3.2925 3.2161 3.1694
Te 6.3194 3.1546 0.0000
Te 6.3194 -3.1546 0.0000
Te 3.2925 -3.2161 3.1694
Te 9.5098 0.0000 0.0749
Te 6.5756 0.0000 3.2718
```

(4)
Structure and theoretical PXRD pattern of PmNd4Pb5 (the GGA-PBE geometry in Alexandria; Cu Kα X-rays).

Most intense lines, 15 to 90 degrees two-theta, by intensity:
d [Å]	2theta	I_rel
3.236	27.57	100
2.288	39.38	79
1.447	64.38	38
1.868	48.74	29
1.321	71.40	28
1.144	84.73	9
1.619	56.88	9
3.736	23.81	5
1.616	56.98	5
1.951	46.54	3

Structure:
```
10
Lattice="-5.1191 5.1191 3.2323 5.1191 -5.1191 3.2323 5.1191 5.1191 -3.2323" Properties=species:S:1:pos:R:3 pbc="T T T"
Pm 0.0000 0.0000 0.0000
Nd 4.1024 2.0452 0.0125
Nd 3.0739 -1.0168 3.2448
Nd 2.0452 6.1359 0.0125
Nd 1.0168 3.0739 3.2448
Pb 7.1804 1.0236 0.0137
Pb 1.0236 3.0578 0.0137
Pb 0.0000 0.0000 3.2296
Pb 4.0955 2.0613 3.2460
Pb -2.0613 4.0955 3.2460
```

(5)
Structure and theoretical PXRD pattern of Pb4Cl6F (the GGA-PBE geometry in Alexandria; Cu Kα X-rays).

Most intense lines, 15 to 90 degrees two-theta, by intensity:
d [Å]	2theta	I_rel
3.668	24.26	100
2.784	32.15	35
2.438	36.86	34
2.131	42.41	33
3.703	24.03	27
4.223	21.04	26
2.036	44.49	26
2.632	34.07	19
2.031	44.62	17
2.932	30.49	12

Structure:
```
22
Lattice="9.7528 0.0000 0.0000 -4.8764 8.4461 0.0000 0.0000 0.0000 7.4055" Properties=species:S:1:pos:R:3 pbc="T T T"
Pb 0.0000 3.1909 0.0000
Pb -2.1130 6.8507 0.0000
Pb 0.0000 5.6308 3.8954
Pb 2.7634 1.5954 3.7027
Pb 2.1130 6.8507 0.0000
Pb 4.8764 2.8154 0.1927
Pb 6.9894 1.5954 3.7027
Pb 4.8764 5.2553 3.7027
Cl -1.8838 4.5431 2.0422
Cl 0.0000 2.3362 4.5170
Cl -2.8532 7.2781 4.5170
Cl 2.0232 1.1681 0.8143
Cl 1.8838 4.5431 2.0422
Cl 0.0000 7.8060 2.0422
Cl 4.8764 0.6401 5.7449
Cl 2.9925 3.9030 5.7449
Cl 2.8532 7.2781 4.5170
Cl 7.7296 1.1681 0.8143
Cl 4.8764 6.1100 0.8143
Cl 6.7602 3.9030 5.7449
F 0.0000 5.6308 6.6009
F 4.8764 2.8154 2.8981
```